Structure and simulated X-ray diffraction stick pattern of Y4TlTe2 (a cell relaxed with GGA-PBE; CuKα).

Main lines, by angle (15° ≤ 2θ ≤ 90°):
| 2θ (°) | d_spacing | I_rel |
| --- | --- | --- |
| 18.43 | 4.813 | 47.5 |
| 22.71 | 3.915 | 41.0 |
| 29.94 | 2.985 | 100.0 |
| 34.93 | 2.569 | 81.5 |
| 35.10 | 2.557 | 46.3 |
| 37.37 | 2.407 | 53.8 |

Structural model:
Unit cell a=9.6264 b=8.2811 c=8.2734 alpha=71.11 beta=54.48 gamma=54.41
Atoms (fractional coordinates):
Y: 0.1223 0.3175 0.3182
Y: 0.2580 0.6818 0.6825
Y: 0.3175 0.1223 0.7420
Y: 0.3182 0.7420 0.1223
Y: 0.6818 0.2580 0.8777
Y: 0.6825 0.8777 0.2580
Y: 0.7420 0.3182 0.3175
Y: 0.8777 0.6825 0.6818
Tl: 0.3750 0.3750 0.3750
Tl: 0.6250 0.6250 0.6250
Te: 0.0000 0.0000 0.0000
Te: 0.0000 0.0000 0.5000
Te: 0.0000 0.5000 0.0000
Te: 0.5000 0.0000 0.0000